Structure and theoretical XRD peak list of K2Na2MoW3O12 (a structure optimized by DFT (GGA+U); CuKα).
No peak broadening, texture or thermal motion is included.

Crystal structure
Lattice parameters (Å, degrees): 3.9972 8.0205 8.0100 90.00 90.00 90.00
Space group Pmm2 (No. 25)
Symmetry-distinct sites (fractional):
K: 0.0000 0.2483 0.0000
Na: 0.0000 0.2418 0.5066
Mo: 0.5000 0.0000 0.7502
W: 0.5000 0.0000 0.2545
W: 0.5000 0.5000 0.2540
W: 0.5000 0.5000 0.7486
O: 0.0000 0.0000 0.2592
O: 0.0000 0.0000 0.7473
O: 0.0000 0.5000 0.2551
O: 0.0000 0.5000 0.7471
O: 0.5000 0.0000 0.0142
O: 0.5000 0.0000 0.4935
O: 0.5000 0.2583 0.2568
O: 0.5000 0.2611 0.7461
O: 0.5000 0.5000 0.0027
O: 0.5000 0.5000 0.5001

Peak list (10 most intense, 2θ = 10–90°, low angle first)
d_spacing	I_rel	hkl
4.004	82	0 2 0
2.831	100	1 2 0
2.004	22	0 4 0
1.999	11	2 0 0
1.792	23	1 4 0
1.789	12	2 2 0
1.635	26	1 2 4
1.633	13	2 2 2
1.416	13	2 4 0
1.334	10	2 4 2

***

Structure and theoretical XRD peak list of K4Na4Mo3W5O24 (a structure optimized by DFT (GGA+U); CuKα).
No peak broadening, texture or thermal motion is included.

Crystal structure
Lattice parameters (Å, degrees): 7.9875 8.0309 8.0278 90.00 90.00 90.00
Space group Pmm2 (No. 25)
Symmetry-distinct sites (fractional):
K: 0.2459 0.2481 0.0000
Na: 0.2336 0.2420 0.4901
Mo: 0.0000 0.0000 0.2490
Mo: 0.0000 0.0000 0.7467
Mo: 0.0000 0.5000 0.2494
W: 0.0000 0.5000 0.7446
W: 0.5000 0.0000 0.2503
W: 0.5000 0.0000 0.7450
W: 0.5000 0.5000 0.2518
W: 0.5000 0.5000 0.7460
O: 0.0000 0.0000 0.4991
O: 0.0000 0.0000 0.9973
O: 0.0000 0.2510 0.2550
O: 0.0000 0.2618 0.7411
O: 0.0000 0.5000 0.5075
O: 0.0000 0.5000 0.9835
O: 0.2552 0.5000 0.7442
O: 0.2581 0.0000 0.7433
O: 0.2581 0.5000 0.2527
O: 0.2620 0.0000 0.2535
O: 0.5000 0.0000 0.5044
O: 0.5000 0.0000 0.9902
O: 0.5000 0.2458 0.7446
O: 0.5000 0.2571 0.2527
O: 0.5000 0.5000 0.0034
O: 0.5000 0.5000 0.4949

Peak list (10 most intense, 2θ = 10–90°, low angle first)
d_spacing	I_rel	hkl
4.015	54	0 2 0
3.994	27	2 0 0
2.834	100	2 2 0
2.007	23	0 4 0
1.997	11	4 0 0
1.794	23	2 4 0
1.788	11	4 2 0
1.638	26	2 4 2
1.633	13	4 2 2
1.416	14	4 4 0

***

Structure and theoretical XRD peak list of KNaMoWO6 (a structure optimized by DFT (GGA+U); CuKα).
No peak broadening, texture or thermal motion is included.

Crystal structure
Lattice parameters (Å, degrees): 8.0301 8.0301 7.9694 90.00 90.00 90.00
Space group P4mm (No. 99)
Symmetry-distinct sites (fractional):
K: 0.2476 0.2476 0.0000
Na: 0.2421 0.2421 0.4847
Mo: 0.0000 0.0000 0.2493
Mo: 0.0000 0.0000 0.7447
Mo: 0.0000 0.5000 0.2476
W: 0.0000 0.5000 0.7430
W: 0.5000 0.5000 0.2529
W: 0.5000 0.5000 0.7469
O: 0.0000 0.0000 0.5082
O: 0.0000 0.0000 0.9829
O: 0.0000 0.2505 0.2532
O: 0.0000 0.2575 0.7409
O: 0.0000 0.5000 0.5026
O: 0.0000 0.5000 0.9873
O: 0.2458 0.5000 0.7427
O: 0.2618 0.5000 0.2523
O: 0.5000 0.5000 0.5030
O: 0.5000 0.5000 0.9924

Peak list (10 most intense, 2θ = 10–90°, low angle first)
d_spacing	I_rel	hkl
4.015	79	2 0 0
3.985	39	0 0 2
2.839	51	2 2 0
2.828	100	2 0 2
2.008	36	4 0 0
1.992	17	0 0 4
1.794	33	4 2 0
1.637	39	4 2 2
1.631	19	2 2 4
1.414	21	4 0 4